Starting from DFT lattice parameters and positions (PBE+U), the powder diffractogram of Ba2YTlNi2O7 was computed for Cu Ka.
Kinematic intensities with the Lorentz-polarization factor, no thermal factor.

Atomic structure:
```
data_Ba2YTlNi2O7
_space_group_name_H-M_alt 'P 4/m m m'
_space_group_IT_number 123
_space_group_name_Hall '-P 4 2'
_cell_length_a 3.882
_cell_length_b 3.882
_cell_length_c 12.943
_cell_angle_alpha 90.00
_cell_angle_beta 90.00
_cell_angle_gamma 90.00
loop_
_atom_site_label
_atom_site_type_symbol
_atom_site_fract_x
_atom_site_fract_y
_atom_site_fract_z
_atom_site_occupancy
Ba1 Ba 0.000 0.000 0.206 1
Y1 Y 0.000 0.000 0.500 1
Tl1 Tl 0.500 0.500 0.000 1
Ni1 Ni 0.500 0.500 0.374 1
O1 O 0.000 0.000 0.000 1
O2 O 0.000 0.500 0.388 1
O3 O 0.500 0.500 0.162 1
```

Main lines, sorted by position (5° ≤ 2θ ≤ 70°):
two_theta  d (Å)  Rel. int.
26.78  3.329  45
30.99  2.886  100
32.62  2.745  70
34.65  2.589  20
43.22  2.093  16
46.81  1.941  35
48.33  1.883  20
55.01  1.669  14
57.20  1.610  36
59.53  1.553  16

=====

Starting from DFT lattice parameters and positions (PBE+U), the powder diffractogram of Ba2Tl2Zn3Ni4O12 was computed for Cu Ka.
Kinematic intensities with the Lorentz-polarization factor, no thermal factor.

Atomic structure:
```
data_Ba2Tl2Zn3Ni4O12
_space_group_name_H-M_alt 'C 1 m 1'
_space_group_IT_number 8
_cell_length_a 46.702
_cell_length_b 3.720
_cell_length_c 3.619
_cell_angle_alpha 90.00
_cell_angle_beta 94.33
_cell_angle_gamma 90.00
loop_
_space_group_symop_operation_xyz
'x,y,z'
'x,-y,z'
'x+1/2,y+1/2,z'
'x+1/2,-y+1/2,z'
loop_
_atom_site_label
_atom_site_type_symbol
_atom_site_fract_x
_atom_site_fract_y
_atom_site_fract_z
_atom_site_occupancy
Ba1 Ba 0.000 0.000 0.000 1
Ba2 Ba 0.185 0.500 0.672 1
Tl1 Tl 0.067 0.500 0.564 1
Tl2 Tl 0.119 0.000 0.116 1
Zn1 Zn 0.268 0.500 0.772 1
Zn2 Zn 0.340 0.500 0.839 1
Zn3 Zn 0.411 0.500 0.910 1
Ni1 Ni 0.238 0.000 0.228 1
Ni2 Ni 0.304 0.000 0.307 1
Ni3 Ni 0.374 0.000 0.371 1
Ni4 Ni 0.444 0.000 0.443 1
O1 O 0.023 0.500 0.522 1
O2 O 0.074 0.000 0.072 1
O3 O 0.113 0.500 0.609 1
O4 O 0.164 0.000 0.154 1
O5 O 0.225 0.500 0.210 1
O6 O 0.250 0.000 0.740 1
O7 O 0.291 0.500 0.294 1
O8 O 0.322 0.000 0.826 1
O9 O 0.361 0.500 0.359 1
O10 O 0.392 0.000 0.889 1
O11 O 0.431 0.500 0.429 1
O12 O 0.462 0.000 0.961 1
```

Main lines, sorted by position (5° ≤ 2θ ≤ 70°):
two_theta  d (Å)  Rel. int.
7.59  11.642  26
27.47  3.247  34
28.07  3.179  33
29.58  3.020  49
30.13  2.966  46
30.72  2.911  21
34.59  2.593  100
34.78  2.579  23
48.97  1.860  24
50.43  1.810  22

=====

Starting from DFT lattice parameters and positions (PBE+U), the powder diffractogram of BaV2Ni2O8 was computed for Cu Ka.
Kinematic intensities with the Lorentz-polarization factor, no thermal factor.

Atomic structure:
```
data_BaV2Ni2O8
_space_group_name_H-M_alt 'R -3'
_space_group_IT_number 148
_space_group_name_Hall '-R 3'
_cell_length_a 5.0878
_cell_length_b 5.0878
_cell_length_c 23.1321
_cell_angle_alpha 90.00
_cell_angle_beta 90.00
_cell_angle_gamma 120.00
loop_
_atom_site_label
_atom_site_type_symbol
_atom_site_fract_x
_atom_site_fract_y
_atom_site_fract_z
_atom_site_occupancy
Ba1 Ba 0.0000 0.0000 0.0000 1
V1 V 0.0000 0.0000 0.4258 1
Ni1 Ni 0.0000 0.0000 0.1694 1
O1 O 0.0000 0.0000 0.3525 1
O2 O 0.0042 0.3448 0.7815 1
```

Main lines, sorted by position (5° ≤ 2θ ≤ 70°):
two_theta  d (Å)  Rel. int.
20.52  4.328  18
21.58  4.117  33
27.96  3.191  100
33.91  2.644  50
35.28  2.544  85
42.58  2.123  41
45.61  1.989  27
58.94  1.567  23
60.23  1.536  39
63.32  1.469  26

=====

Starting from DFT lattice parameters and positions (PBE+U), the powder diffractogram of Ba3Y4Ni3O15 was computed for Cu Ka.
Kinematic intensities with the Lorentz-polarization factor, no thermal factor.

Atomic structure:
```
data_Ba3Y4Ni3O15
_space_group_name_H-M_alt 'C 1 2/m 1'
_space_group_IT_number 12
_cell_length_a 11.557
_cell_length_b 5.693
_cell_length_c 11.484
_cell_angle_alpha 90.00
_cell_angle_beta 108.75
_cell_angle_gamma 90.00
loop_
_space_group_symop_operation_xyz
'x,y,z'
'-x,-y,-z'
'-x,y,-z'
'x,-y,z'
'x+1/2,y+1/2,z'
'-x+1/2,-y+1/2,-z'
'-x+1/2,y+1/2,-z'
'x+1/2,-y+1/2,z'
loop_
_atom_site_label
_atom_site_type_symbol
_atom_site_fract_x
_atom_site_fract_y
_atom_site_fract_z
_atom_site_occupancy
Ba1 Ba 0.000 0.000 0.000 1
Ba2 Ba 0.006 0.000 0.675 1
Y1 Y 0.208 0.500 0.073 1
Y2 Y 0.208 0.500 0.401 1
Ni1 Ni 0.000 0.500 0.500 1
Ni2 Ni 0.011 0.500 0.835 1
O1 O 0.000 0.500 0.000 1
O2 O 0.001 0.500 0.668 1
O3 O 0.124 0.284 0.211 1
O4 O 0.132 0.260 0.524 1
O5 O 0.140 0.263 0.895 1
```

Main lines, sorted by position (5° ≤ 2θ ≤ 70°):
two_theta  d (Å)  Rel. int.
16.20  5.472  29
18.24  4.865  17
29.07  3.072  27
31.43  2.847  40
32.47  2.757  81
32.72  2.737  100
46.01  1.973  40
47.51  1.914  25
56.61  1.626  17
58.08  1.588  21

=====

Starting from DFT lattice parameters and positions (PBE+U), the powder diffractogram of Ba2YNi3O7 was computed for Cu Ka.
Kinematic intensities with the Lorentz-polarization factor, no thermal factor.

Atomic structure:
```
data_Ba2YNi3O7
_space_group_name_H-M_alt 'F m m m'
_space_group_IT_number 69
_space_group_name_Hall '-F 2 2'
_cell_length_a 7.816
_cell_length_b 7.921
_cell_length_c 23.046
_cell_angle_alpha 90.00
_cell_angle_beta 90.00
_cell_angle_gamma 90.00
loop_
_atom_site_label
_atom_site_type_symbol
_atom_site_fract_x
_atom_site_fract_y
_atom_site_fract_z
_atom_site_occupancy
Ba1 Ba 0.250 0.250 0.091 1
Y1 Y 0.250 0.250 0.250 1
Ni1 Ni 0.000 0.000 0.000 1
Ni2 Ni 0.000 0.000 0.171 1
Ni3 Ni 0.000 0.000 0.329 1
Ni4 Ni 0.000 0.000 0.500 1
O1 O 0.000 0.000 0.081 1
O2 O 0.000 0.000 0.418 1
O3 O 0.000 0.237 0.000 1
O4 O 0.000 0.249 0.188 1
O5 O 0.250 0.000 0.188 1
```

Main lines, sorted by position (5° ≤ 2θ ≤ 70°):
two_theta  d (Å)  Rel. int.
32.18  2.782  96
32.47  2.757  89
32.69  2.739  100
40.02  2.253  24
45.82  1.980  30
46.47  1.954  29
47.33  1.921  19
57.42  1.605  38
57.84  1.594  34
58.39  1.580  35

=====

Starting from DFT lattice parameters and positions (PBE+U), the powder diffractogram of Ba3Y5Ni3O15 was computed for Cu Ka.
Kinematic intensities with the Lorentz-polarization factor, no thermal factor.

Atomic structure:
```
data_Ba3Y5Ni3O15
_space_group_name_H-M_alt 'C 1 m 1'
_space_group_IT_number 8
_cell_length_a 11.915
_cell_length_b 5.804
_cell_length_c 11.323
_cell_angle_alpha 90.00
_cell_angle_beta 108.63
_cell_angle_gamma 90.00
loop_
_space_group_symop_operation_xyz
'x,y,z'
'x,-y,z'
'x+1/2,y+1/2,z'
'x+1/2,-y+1/2,z'
loop_
_atom_site_label
_atom_site_type_symbol
_atom_site_fract_x
_atom_site_fract_y
_atom_site_fract_z
_atom_site_occupancy
Ba1 Ba 0.000 0.000 0.000 1
Ba2 Ba 0.008 0.000 0.337 1
Ba3 Ba 0.492 0.500 0.658 1
Y1 Y 0.205 0.500 0.734 1
Y2 Y 0.207 0.500 0.070 1
Y3 Y 0.292 0.000 0.596 1
Y4 Y 0.295 0.000 0.934 1
Y5 Y 0.296 0.000 0.262 1
Ni1 Ni 0.001 0.500 0.833 1
Ni2 Ni 0.010 0.500 0.501 1
Ni3 Ni 0.016 0.500 0.174 1
O1 O 0.140 0.254 0.563 1
O2 O 0.142 0.249 0.195 1
O3 O 0.148 0.265 0.883 1
O4 O 0.353 0.234 0.783 1
O5 O 0.355 0.237 0.118 1
O6 O 0.376 0.214 0.456 1
O7 O 0.498 0.000 0.332 1
O8 O 0.498 0.000 0.665 1
O9 O 0.499 0.000 0.000 1
```

Main lines, sorted by position (5° ≤ 2θ ≤ 70°):
two_theta  d (Å)  Rel. int.
28.26  3.158  22
30.81  2.902  27
31.70  2.823  14
32.44  2.760  100
39.98  2.255  8
40.01  2.253  8
44.79  2.023  23
48.22  1.887  15
55.83  1.647  21
58.33  1.582  9

=====

Starting from DFT lattice parameters and positions (PBE+U), the powder diffractogram of BaYNi4O7 was computed for Cu Ka.
Kinematic intensities with the Lorentz-polarization factor, no thermal factor.

Atomic structure:
```
data_BaYNi4O7
_space_group_name_H-M_alt 'P 63 m c'
_space_group_IT_number 186
_space_group_name_Hall 'P 6c -2c'
_cell_length_a 6.3474
_cell_length_b 6.3474
_cell_length_c 10.4560
_cell_angle_alpha 90.00
_cell_angle_beta 90.00
_cell_angle_gamma 120.00
loop_
_atom_site_label
_atom_site_type_symbol
_atom_site_fract_x
_atom_site_fract_y
_atom_site_fract_z
_atom_site_occupancy
Ba1 Ba 0.3333 0.6667 0.0000 1
Y1 Y 0.3333 0.6667 0.3897 1
Ni1 Ni 0.0000 0.0000 0.4479 1
Ni2 Ni 0.1722 0.3444 0.6962 1
O1 O 0.0000 0.0000 0.2510 1
O2 O 0.0098 0.5049 0.7641 1
O3 O 0.1648 0.3296 0.5139 1
```

Main lines, sorted by position (5° ≤ 2θ ≤ 70°):
two_theta  d (Å)  Rel. int.
28.12  3.174  39
30.37  2.944  69
33.02  2.713  100
33.72  2.658  78
34.31  2.614  20
51.19  1.785  27
52.95  1.729  26
55.19  1.664  40
58.13  1.587  37
67.00  1.397  14

=====

Starting from DFT lattice parameters and positions (PBE+U), the powder diffractogram of Ba2YNi3O7 was computed for Cu Ka.
Kinematic intensities with the Lorentz-polarization factor, no thermal factor.

Atomic structure:
```
data_Ba2YNi3O7
_space_group_name_H-M_alt 'C 1 m 1'
_space_group_IT_number 8
_cell_length_a 7.777
_cell_length_b 7.993
_cell_length_c 12.207
_cell_angle_alpha 90.00
_cell_angle_beta 108.56
_cell_angle_gamma 90.00
loop_
_space_group_symop_operation_xyz
'x,y,z'
'x,-y,z'
'x+1/2,y+1/2,z'
'x+1/2,-y+1/2,z'
loop_
_atom_site_label
_atom_site_type_symbol
_atom_site_fract_x
_atom_site_fract_y
_atom_site_fract_z
_atom_site_occupancy
Ba1 Ba 0.000 0.250 0.000 1
Ba2 Ba 0.185 0.250 0.370 1
Y1 Y 0.343 0.250 0.685 1
Ni1 Ni 0.013 0.000 0.526 1
Ni2 Ni 0.013 0.500 0.526 1
Ni3 Ni 0.172 0.000 0.843 1
Ni4 Ni 0.173 0.500 0.845 1
Ni5 Ni 0.343 0.000 0.185 1
Ni6 Ni 0.343 0.500 0.185 1
O1 O 0.031 0.249 0.562 1
O2 O 0.154 0.250 0.809 1
O3 O 0.261 0.000 0.021 1
O4 O 0.261 0.500 0.023 1
O5 O 0.281 0.000 0.563 1
O6 O 0.282 0.500 0.563 1
O7 O 0.343 0.230 0.185 1
O8 O 0.404 0.000 0.808 1
O9 O 0.404 0.500 0.808 1
O10 O 0.424 0.000 0.349 1
O11 O 0.424 0.500 0.347 1
```

Main lines, sorted by position (5° ≤ 2θ ≤ 70°):
two_theta  d (Å)  Rel. int.
32.12  2.787  98
32.25  2.775  90
32.70  2.739  100
39.91  2.259  24
45.39  1.998  32
46.72  1.944  29
57.06  1.614  39
57.91  1.592  34
58.17  1.586  34
67.17  1.394  19

=====

Starting from DFT lattice parameters and positions (PBE+U), the powder diffractogram of Ba2YNi3O7 was computed for Cu Ka.
Kinematic intensities with the Lorentz-polarization factor, no thermal factor.

Atomic structure:
```
data_Ba2YNi3O7
_space_group_name_H-M_alt 'C m m m'
_space_group_IT_number 65
_space_group_name_Hall '-C 2 2'
_cell_length_a 7.769
_cell_length_b 8.050
_cell_length_c 11.515
_cell_angle_alpha 90.00
_cell_angle_beta 90.00
_cell_angle_gamma 90.00
loop_
_atom_site_label
_atom_site_type_symbol
_atom_site_fract_x
_atom_site_fract_y
_atom_site_fract_z
_atom_site_occupancy
Ba1 Ba 0.250 0.250 0.184 1
Y1 Y 0.250 0.250 0.500 1
Ni1 Ni 0.000 0.000 0.000 1
Ni2 Ni 0.000 0.000 0.339 1
Ni3 Ni 0.000 0.500 0.000 1
Ni4 Ni 0.000 0.500 0.343 1
O1 O 0.000 0.000 0.163 1
O2 O 0.000 0.252 0.376 1
O3 O 0.000 0.265 0.000 1
O4 O 0.000 0.500 0.161 1
O5 O 0.249 0.500 0.377 1
```

Main lines, sorted by position (5° ≤ 2θ ≤ 70°):
two_theta  d (Å)  Rel. int.
32.02  2.795  99
32.23  2.778  91
32.80  2.730  100
39.90  2.260  24
45.05  2.013  32
46.77  1.942  29
47.37  1.919  18
56.83  1.620  40
57.93  1.592  34
58.32  1.582  35

=====

Starting from DFT lattice parameters and positions (PBE+U), the powder diffractogram of Ba2YNi3O7 was computed for Cu Ka.
Kinematic intensities with the Lorentz-polarization factor, no thermal factor.

Atomic structure:
```
data_Ba2YNi3O7
_space_group_name_H-M_alt 'P m m m'
_space_group_IT_number 47
_cell_length_a 3.894
_cell_length_b 3.999
_cell_length_c 11.503
_cell_angle_alpha 90.00
_cell_angle_beta 90.00
_cell_angle_gamma 90.00
loop_
_space_group_symop_operation_xyz
'x,y,z'
'-x,-y,-z'
'-x,-y,z'
'x,y,-z'
'x,-y,-z'
'-x,y,z'
'-x,y,-z'
'x,-y,z'
loop_
_atom_site_label
_atom_site_type_symbol
_atom_site_fract_x
_atom_site_fract_y
_atom_site_fract_z
_atom_site_occupancy
Ba1 Ba 0.000 0.000 0.183 1
Y1 Y 0.000 0.000 0.500 1
Ni1 Ni 0.500 0.500 0.000 1
Ni2 Ni 0.500 0.500 0.342 1
O1 O 0.000 0.500 0.376 1
O2 O 0.500 0.000 0.000 1
O3 O 0.500 0.000 0.376 1
O4 O 0.500 0.500 0.163 1
```

Main lines, sorted by position (5° ≤ 2θ ≤ 70°):
two_theta  d (Å)  Rel. int.
32.08  2.790  98
32.35  2.768  90
32.78  2.732  100
39.96  2.256  24
45.36  1.999  33
46.65  1.947  29
57.08  1.613  40
57.91  1.593  34
58.41  1.580  35
67.10  1.395  19

=====

What is the formula in the fifth record?
Ba2YNi3O7